Starting from DFT lattice parameters and positions (PBE), the powder diffraction line list of LiPmYTc was calculated for CuKα.

Crystal structure
```
data_LiPmYTc
_chemical_formula_sum 'Li4 Pm4 Y4 Tc4'
_space_group_name_H-M_alt 'F -4 3 m'
_space_group_IT_number 216
_space_group_name_Hall 'F -4 2 3'
_cell_length_a 7.068
_cell_length_b 7.068
_cell_length_c 7.068
_cell_angle_alpha 90.00
_cell_angle_beta 90.00
_cell_angle_gamma 90.00
loop_
_atom_site_label
_atom_site_type_symbol
_atom_site_fract_x
_atom_site_fract_y
_atom_site_fract_z
Li1 Li 0.000 0.000 0.000
Pm1 Pm 0.250 0.250 0.750
Y1 Y 0.250 0.250 0.250
Tc1 Tc 0.000 0.000 0.500
```

Peak list (6 most intense, 10 to 80 degrees two-theta, sorted by position)
2theta	I (rel.)	index
21.78	25	1 1 1
25.20	19	2 0 0
35.94	100	2 2 0
42.41	13	3 1 1
51.73	17	4 0 0
64.60	35	4 2 2

---

Starting from DFT lattice parameters and positions (PBE), the powder diffraction line list of Ho7Mg3 was calculated for CuKα.

Crystal structure
```
data_Ho7Mg3
_chemical_formula_sum 'Ho14 Mg6'
_space_group_name_H-M_alt 'P 63 m c'
_space_group_IT_number 186
_space_group_name_Hall 'P 6c -2c'
_cell_length_a 9.5634
_cell_length_b 9.5634
_cell_length_c 7.6129
_cell_angle_alpha 90.00
_cell_angle_beta 90.00
_cell_angle_gamma 120.00
loop_
_atom_site_label
_atom_site_type_symbol
_atom_site_fract_x
_atom_site_fract_y
_atom_site_fract_z
Ho1 Ho 0.0774 0.5387 0.0000
Ho2 Ho 0.1234 0.2468 0.2693
Ho3 Ho 0.3333 0.6667 0.3351
Mg1 Mg 0.2217 0.4433 0.6805
```

Peak list (6 most intense, 10 to 80 degrees two-theta, sorted by position)
2theta	I (rel.)	index
15.81	25	1 0 1
25.76	40	1 0 2
28.51	27	2 1 0
30.89	100	2 1 1
31.94	66	2 0 2
34.56	51	3 0 1

---

Starting from DFT lattice parameters and positions (PBE), the powder diffraction line list of Ac3Sb was calculated for CuKα.

Crystal structure
```
data_Ac3Sb
_chemical_formula_sum 'Ac12 Sb4'
_space_group_name_H-M_alt 'F m -3 m'
_space_group_IT_number 225
_space_group_name_Hall '-F 4 2 3'
_cell_length_a 8.482
_cell_length_b 8.482
_cell_length_c 8.482
_cell_angle_alpha 90.00
_cell_angle_beta 90.00
_cell_angle_gamma 90.00
loop_
_atom_site_label
_atom_site_type_symbol
_atom_site_fract_x
_atom_site_fract_y
_atom_site_fract_z
Ac1 Ac 0.000 0.000 0.000
Ac2 Ac 0.250 0.250 0.250
Sb1 Sb 0.000 0.000 0.500
```

Peak list (6 most intense, 10 to 80 degrees two-theta, sorted by position)
2theta	I (rel.)	index
29.79	100	2 2 0
42.63	19	4 0 0
52.88	41	4 2 2
61.88	13	4 4 0
70.17	18	6 2 0
78.05	5	4 4 4

---

Starting from DFT lattice parameters and positions (PBE), the powder diffraction line list of Zr4GaBi was calculated for CuKα.

Crystal structure
```
data_Zr4GaBi
_chemical_formula_sum 'Zr8 Ga2 Bi2'
_space_group_name_H-M_alt 'P 4/m c c'
_space_group_IT_number 124
_space_group_name_Hall '-P 4 2c'
_cell_length_a 6.799
_cell_length_b 6.799
_cell_length_c 5.837
_cell_angle_alpha 90.00
_cell_angle_beta 90.00
_cell_angle_gamma 90.00
loop_
_atom_site_label
_atom_site_type_symbol
_atom_site_fract_x
_atom_site_fract_y
_atom_site_fract_z
Zr1 Zr 0.138 0.334 0.000
Ga1 Ga 0.000 0.000 0.250
Bi1 Bi 0.500 0.500 0.250
```

Peak list (6 most intense, 10 to 80 degrees two-theta, sorted by position)
2theta	I (rel.)	index
18.45	31	1 1 0
33.22	100	2 1 1
36.00	81	1 1 2
40.75	58	2 0 2
42.02	76	3 1 0
66.57	30	3 3 2

---

Starting from DFT lattice parameters and positions (PBE), the powder diffraction line list of LaNd4Sc3 was calculated for CuKα.

Crystal structure
```
data_LaNd4Sc3
_chemical_formula_sum 'La2 Nd8 Sc6'
_space_group_name_H-M_alt 'C 1 2/m 1'
_space_group_IT_number 12
_space_group_name_Hall '-C 2y'
_cell_length_a 27.314
_cell_length_b 3.472
_cell_length_c 5.778
_cell_angle_alpha 90.00
_cell_angle_beta 94.02
_cell_angle_gamma 90.00
loop_
_atom_site_label
_atom_site_type_symbol
_atom_site_fract_x
_atom_site_fract_y
_atom_site_fract_z
La1 La 0.000 0.000 0.000
Nd1 Nd 0.102 0.000 0.533
Nd2 Nd 0.189 0.000 0.063
Sc1 Sc 0.000 0.500 0.500
Sc2 Sc 0.206 0.500 0.573
```

Peak list (6 most intense, 10 to 80 degrees two-theta, sorted by position)
2theta	I (rel.)	index
24.08	61	6 0 -1
25.85	80	1 1 0
31.03	50	0 0 2
32.87	56	10 0 0
33.81	95	5 1 -1
34.89	100	5 1 1